Calculated powder diffractogram of Li2PuVF8 for copper Kα, from the PBE+U geometry in Alexandria.
Lines closer than 0.1° are merged.

Peak list (10 most intense, 2θ from 10° to 90°, by angle)
two_theta, I_rel
12.8, 39
18.6, 100
22.7, 49
25.8, 24
26.0, 30
27.0, 27
32.0, 43
37.7, 40
41.8, 22
49.7, 23

Cell and atoms:
```
12
Lattice="3.4335 -3.3016 0.0000 3.4335 3.3016 0.0000 -0.0079 0.0000 6.9191" Properties=species:S:1:pos:R:3 pbc="T T T"
Li 0.0025 0.0000 1.4810
Li 6.8566 0.0000 5.4381
Pu 3.4295 0.0000 3.4596
V 3.4335 0.0000 0.0000
F 1.2512 0.0000 3.4538
F 1.4629 0.0000 6.9185
F 3.4318 1.3257 1.5370
F 3.4273 1.3257 5.3821
F 3.4318 -1.3257 1.5370
F 3.4273 -1.3257 5.3821
F 5.3961 0.0000 0.0006
F 5.6078 0.0000 3.4653
```